Theoretical powder diffraction line list of Sr3USb4 for a wavelength of 1.5418 Å, from a GGA-PBE-relaxed structure.

Top 6 peaks for 2θ from 10° to 90°, by angle:
- 11.67°, I = 12, (1 0 0)
- 27.15°, I = 100, (1 2 1)
- 38.55°, I = 12, (0 4 0)
- 38.67°, I = 23, (3 2 -1)
- 38.87°, I = 25, (1 2 -3)
- 47.77°, I = 12, (2 4 -2)

Cell and atoms:
```
data_Sr3USb4
_chemical_formula_sum 'Sr6 U2 Sb8'
_cell_length_a 8.0591
_cell_length_b 9.3422
_cell_length_c 8.0061
_cell_angle_alpha 90.00
_cell_angle_beta 109.84
_cell_angle_gamma 90.00
_symmetry_space_group_name_H-M 'P 1 2/c 1'
_symmetry_Int_Tables_number 13
_symmetry_space_group_name_Hall '-P 2yc'
loop_
_atom_site_label
_atom_site_type_symbol
_atom_site_fract_x
_atom_site_fract_y
_atom_site_fract_z
Sr1 Sr 0.0000 0.1180 0.2500
Sr2 Sr 0.0000 0.3760 0.7500
Sr3 Sr 0.5000 0.1222 0.7500
U1 U 0.5000 0.3717 0.2500
Sb1 Sb 0.2664 0.1482 0.0229
Sb2 Sb 0.2889 0.3940 0.4989
```